LaPm2Dy2Y4: calculated powder diffraction line list (a wavelength of 1.5418 Å), based on a structure optimized by DFT (PBE).
Intensities are scaled so that the largest is 100.

Largest 10 diffraction maxima, low angle first, 2θ = 10–90°:
index  d/Å  2theta  Rel. int.
6 0 -1  3.123  28.58  45
0 0 3  2.897  30.86  49
6 0 0  2.833  31.58  100
3 1 1  2.694  33.26  92
3 1 2  2.263  39.83  16
0 2 0  1.816  50.24  38
6 0 3  1.691  54.24  20
3 1 4  1.603  57.50  20
9 1 1  1.539  60.13  44
9 1 4  1.133  85.80  17

Atomic structure:
a b c (Å): 18.8635 3.6341 9.6482
angles (deg): 90.00 115.72 90.00
Space group C2/m (No. 12)
Asymmetric unit:
La: 0.0000 0.0000 0.0000 x2
Pm: 0.1676 0.5000 0.9995 x4
Dy: 0.1478 0.0000 0.6643 x4
Y: 0.0193 0.5000 0.3377 x4
Y: 0.1863 0.0000 0.3363 x4